The following is a computed powder diffractogram of SrPaB2O6. It was derived from a DFT-relaxed cell (GGA-PBE, Alexandria), using copper Kα.

Peak list (8 most intense, 10° ≤ 2θ ≤ 80°, in order of rising 2θ)
two_theta  I (rel.)  index
20.31  34  1 0 1
22.10  98  0 1 2
28.22  100  1 0 4
34.43  39  1 1 0
41.30  30  2 0 2
45.58  26  0 1 8
46.46  45  2 -1 6
54.82  26  3 -2 2

Atomic structure:
```
data_SrPaB2O6
_chemical_formula_sum 'Sr3 Pa3 B6 O18'
_cell_length_a 5.2095
_cell_length_b 5.2095
_cell_length_c 17.7409
_cell_angle_alpha 90.00
_cell_angle_beta 90.00
_cell_angle_gamma 120.00
_space_group_name_H-M_alt 'R -3'
_space_group_IT_number 148
_space_group_name_Hall '-R 3'
loop_
_atom_site_label
_atom_site_fract_x
_atom_site_fract_y
_atom_site_fract_z
_atom_site_occupancy
Sr1 0.0000 0.0000 0.0000 1
Pa1 0.0000 0.0000 0.5000 1
B1 0.0000 0.0000 0.2447 1
O1 0.0334 0.2817 0.2449 1
```

=====

The following is a computed powder diffractogram of B2Pb2O5. It was derived from a DFT-relaxed cell (GGA-PBE, Alexandria), using copper Kα.

Peak list (8 most intense, 10° ≤ 2θ ≤ 80°, in order of rising 2θ)
two_theta  I (rel.)  index
13.99  48  0 0 2
17.13  34  0 1 1
26.32  78  0 1 3
26.81  100  1 1 0
30.37  66  1 0 3
39.28  31  1 1 4
44.36  55  1 2 3
51.27  30  1 1 6

Atomic structure:
```
data_B2Pb2O5
_chemical_formula_sum 'B4 Pb4 O10'
_cell_length_a 4.1047
_cell_length_b 5.6709
_cell_length_c 12.6642
_cell_angle_alpha 90.00
_cell_angle_beta 90.00
_cell_angle_gamma 90.00
_space_group_name_H-M_alt 'I m m m'
_space_group_IT_number 71
_space_group_name_Hall '-I 2 2'
loop_
_atom_site_label
_atom_site_fract_x
_atom_site_fract_y
_atom_site_fract_z
_atom_site_occupancy
B1 0.0000 0.0000 0.1088 1
Pb1 0.0000 0.0000 0.3339 1
O1 0.0000 0.0000 0.0000 1
O2 0.0000 0.2080 0.1661 1
```

=====

The following is a computed powder diffractogram of BPb3O4. It was derived from a DFT-relaxed cell (GGA-PBE, Alexandria), using copper Kα.

Peak list (8 most intense, 10° ≤ 2θ ≤ 80°, in order of rising 2θ)
two_theta  I (rel.)  index
21.99  38  1 0 1
26.22  41  2 1 0
29.43  81  0 2 1
32.30  100  2 1 1
37.57  56  0 0 2
42.03  35  2 3 0
54.13  40  3 3 1
57.60  42  2 3 2

Atomic structure:
```
data_BPb3O4
_chemical_formula_sum 'B2 Pb6 O8'
_cell_length_a 7.5424
_cell_length_b 7.8492
_cell_length_c 4.7871
_cell_angle_alpha 90.00
_cell_angle_beta 90.00
_cell_angle_gamma 90.00
_space_group_name_H-M_alt 'P m n 21'
_space_group_IT_number 31
loop_
_space_group_symop_operation_xyz
'x,y,z'
'-x+1/2,-y,z+1/2'
'-x,y,z'
'x+1/2,-y,z+1/2'
loop_
_atom_site_label
_atom_site_fract_x
_atom_site_fract_y
_atom_site_fract_z
_atom_site_occupancy
B1 0.0000 0.1270 0.0000 1
Pb1 0.0000 0.8529 0.4718 1
Pb2 0.2160 0.3269 0.4836 1
O1 0.0000 0.1353 0.3273 1
O2 0.0000 0.9433 0.9318 1
O3 0.1647 0.2165 0.9119 1
```

=====

The following is a computed powder diffractogram of B2Pb2O5. It was derived from a DFT-relaxed cell (GGA-PBE, Alexandria), using copper Kα.

Peak list (8 most intense, 10° ≤ 2θ ≤ 80°, in order of rising 2θ)
two_theta  I (rel.)  index
15.70  68  0 1 1
24.77  73  1 0 2
25.79  98  0 2 0
26.39  100  2 1 0
28.72  74  0 1 -2
29.96  74  1 2 2
31.35  87  -1 1 2
32.10  63  1 1 -2

Atomic structure:
```
data_B2Pb2O5
_chemical_formula_sum 'B6 Pb6 O15'
_cell_length_a 7.1447
_cell_length_b 7.3412
_cell_length_c 7.9556
_cell_angle_alpha 76.48
_cell_angle_beta 76.67
_cell_angle_gamma 73.06
_space_group_name_H-M_alt 'P 1'
_space_group_IT_number 1
loop_
_space_group_symop_operation_xyz
'x,y,z'
loop_
_atom_site_label
_atom_site_fract_x
_atom_site_fract_y
_atom_site_fract_z
_atom_site_occupancy
B1 0.0000 0.0000 0.0000 1
B2 0.0069 0.9918 0.3233 1
B3 0.5200 0.4715 0.6414 1
B4 0.6671 0.1430 0.5424 1
B5 0.6785 0.1764 0.8503 1
B6 0.9701 0.6974 0.2323 1
Pb1 0.0488 0.7927 0.6960 1
Pb2 0.1411 0.3091 0.4965 1
Pb3 0.2315 0.3185 0.0113 1
Pb4 0.4792 0.8346 0.8392 1
Pb5 0.4954 0.9188 0.3297 1
Pb6 0.6701 0.3867 0.1715 1
O1 0.0849 0.0486 0.1353 1
O2 0.1400 0.0064 0.4347 1
O3 0.1488 0.9829 0.8378 1
O4 0.3806 0.2678 0.2475 1
O5 0.4132 0.6603 0.6112 1
O6 0.5158 0.0865 0.9447 1
O7 0.5246 0.0242 0.5720 1
O8 0.5573 0.3546 0.5164 1
O9 0.5873 0.3921 0.8005 1
O10 0.7797 0.0976 0.6866 1
O11 0.8028 0.1203 0.3685 1
O12 0.8216 0.1592 0.9652 1
O13 0.9493 0.8078 0.0669 1
O14 0.9658 0.5066 0.2696 1
O15 0.9960 0.7856 0.3605 1
```

=====

The following is a computed powder diffractogram of PmBPbO4. It was derived from a DFT-relaxed cell (GGA-PBE, Alexandria), using copper Kα.

Peak list (8 most intense, 10° ≤ 2θ ≤ 80°, in order of rising 2θ)
two_theta  I (rel.)  index
24.52  100  1 1 0
26.08  24  0 0 2
31.33  22  0 1 2
32.32  35  1 1 -2
34.49  27  0 2 0
35.42  32  2 0 0
39.57  22  1 1 2
50.27  30  2 2 0

Atomic structure:
```
data_PmBPbO4
_chemical_formula_sum 'Pm2 B2 Pb2 O8'
_cell_length_a 5.2661
_cell_length_b 5.2002
_cell_length_c 7.0981
_cell_angle_alpha 90.00
_cell_angle_beta 105.69
_cell_angle_gamma 90.00
_space_group_name_H-M_alt 'P 1 21/m 1'
_space_group_IT_number 11
loop_
_space_group_symop_operation_xyz
'x,y,z'
'-x,-y,-z'
'-x,y+1/2,-z'
'x,-y+1/2,z'
loop_
_atom_site_label
_atom_site_fract_x
_atom_site_fract_y
_atom_site_fract_z
_atom_site_occupancy
Pm1 0.2317 0.2500 0.0419 1
B1 0.2117 0.7500 0.8005 1
Pb1 0.2698 0.2500 0.5600 1
O1 0.0348 0.5205 0.7602 1
O2 0.3458 0.7500 0.0194 1
O3 0.4048 0.7500 0.6830 1
```

=====

The following is a computed powder diffractogram of ReBPbO6. It was derived from a DFT-relaxed cell (GGA-PBE, Alexandria), using copper Kα.

Peak list (8 most intense, 10° ≤ 2θ ≤ 80°, in order of rising 2θ)
two_theta  I (rel.)  index
20.37  25  1 0 0
25.98  100  0 1 1
35.67  25  1 1 0
38.44  15  0 1 2
44.66  24  0 2 1
48.84  27  2 -1 2
53.80  14  1 0 3
58.42  22  3 -1 1

Atomic structure:
```
data_ReBPbO6
_chemical_formula_sum 'Re1 B1 Pb1 O6'
_cell_length_a 5.0340
_cell_length_b 5.0340
_cell_length_c 5.5534
_cell_angle_alpha 90.00
_cell_angle_beta 90.00
_cell_angle_gamma 120.00
_space_group_name_H-M_alt 'P 3'
_space_group_IT_number 143
loop_
_space_group_symop_operation_xyz
'x,y,z'
'-y,x-y,z'
'-x+y,-x,z'
loop_
_atom_site_label
_atom_site_fract_x
_atom_site_fract_y
_atom_site_fract_z
_atom_site_occupancy
Re1 0.0000 0.0000 0.0000 1
B1 0.6667 0.3333 0.7538 1
Pb1 0.3333 0.6667 0.5092 1
O1 0.0257 0.3193 0.1488 1
O2 0.3580 0.2499 0.7402 1
```